No. 1
Starting from a DFT-relaxed cell (GGA-PBE, Alexandria), the powder X-ray diffraction pattern of LaDyGe2Pt2 was calculated for Cu Kα.
No peak broadening, texture or thermal motion is included.

Largest 10 diffraction maxima, low angle first, 10° ≤ 2θ ≤ 90°:
index  2θ (°)  I (rel.)
0 0 1  11.94  111
1 0 1  26.02  238
0 1 2  33.51  1000
1 1 0  40.46  680
1 0 3  43.47  83
0 0 4  49.15  79
2 0 2  53.51  266
1 1 4  65.49  200
1 2 2  69.17  246
3 0 0  73.58  117

abc: 4.4590 4.4590 7.4142
angles: 90.00 90.00 120.00
Space group P-3m1 (No. 164)
One atom of each set of equivalent atoms:
La (0.0000, 0.0000, 0.0000)
Dy (0.0000, 0.0000, 0.5000)
Ge (0.3333, 0.6667, 0.2744)
Pt (0.3333, 0.6667, 0.7130)

***

No. 2
Starting from a DFT-relaxed cell (GGA-PBE, Alexandria), the powder X-ray diffraction pattern of Li2NdDy2Ge2 was calculated for Cu Kα.
No peak broadening, texture or thermal motion is included.

Largest 10 diffraction maxima, low angle first, 10° ≤ 2θ ≤ 90°:
index  2θ (°)  I (rel.)
1 0 1  23.00  1000
1 0 7  32.60  750
0 1 8  35.11  987
1 1 0  39.96  769
0 0 15  50.63  218
0 2 7  52.49  196
2 0 8  54.23  284
1 1 15  66.39  271
2 1 7  67.95  179
1 2 8  69.45  269

abc: 4.5120 4.5120 27.0331
angles: 90.00 90.00 120.00
Space group R-3m (No. 166, hexagonal axes)
One atom of each set of equivalent atoms:
Li (0.0000, 0.0000, 0.0948)
Nd (0.0000, 0.0000, 0.5000)
Dy (0.0000, 0.0000, 0.3719)
Ge (0.0000, 0.0000, 0.2401)

***

No. 3
Starting from a DFT-relaxed cell (GGA-PBE, Alexandria), the powder X-ray diffraction pattern of LiDy2GeO5 was calculated for Cu Kα.
No peak broadening, texture or thermal motion is included.

Largest 10 diffraction maxima, low angle first, 10° ≤ 2θ ≤ 90°:
index  2θ (°)  I (rel.)
0 0 1  15.45  1000
1 1 0  19.30  391
2 1 0  30.74  363
0 0 2  31.19  345
2 0 1  31.63  727
2 1 1  34.58  900
2 1 2  44.36  650
3 1 1  46.93  367
4 1 1  60.91  260
4 1 2  67.81  206

abc: 6.504 6.504 5.735
angles: 90.00 90.00 90.00
Space group P4/mbm (No. 127)
One atom of each set of equivalent atoms:
Li (0.000, 0.000, 0.000)
Dy (0.177, 0.323, 0.500)
Ge (0.000, 0.500, 0.000)
O (0.000, 0.000, 0.500)
O (0.139, 0.639, 0.248)

***

No. 4
Starting from a DFT-relaxed cell (GGA-PBE, Alexandria), the powder X-ray diffraction pattern of Li2Sm2DyGe2 was calculated for Cu Kα.
No peak broadening, texture or thermal motion is included.

Largest 10 diffraction maxima, low angle first, 10° ≤ 2θ ≤ 90°:
index  2θ (°)  I (rel.)
1 0 1  23.36  1000
1 0 7  32.16  841
0 1 8  34.48  929
1 1 0  40.66  754
0 2 7  52.76  207
2 0 8  54.35  253
1 1 15  64.93  245
2 1 7  68.67  187
1 2 8  70.04  236
3 0 0  73.98  188

abc: 4.4375 4.4375 28.2639
angles: 90.00 90.00 120.00
Space group R-3m (No. 166, hexagonal axes)
One atom of each set of equivalent atoms:
Li (0.0000, 0.0000, 0.1083)
Sm (0.0000, 0.0000, 0.3761)
Dy (0.0000, 0.0000, 0.5000)
Ge (0.0000, 0.0000, 0.2303)

***

No. 5
Starting from a DFT-relaxed cell (GGA-PBE, Alexandria), the powder X-ray diffraction pattern of LiDyTcGe2 was calculated for Cu Kα.
No peak broadening, texture or thermal motion is included.

Largest 10 diffraction maxima, low angle first, 10° ≤ 2θ ≤ 90°:
index  2θ (°)  I (rel.)
1 0 1  23.49  383
1 1 0  31.40  334
1 0 3  32.90  1000
1 1 2  35.43  915
2 0 0  45.00  510
1 0 5  46.79  491
2 1 3  56.85  416
2 2 0  65.52  164
2 1 5  66.93  333
3 1 2  76.75  190

abc: 4.029 4.029 11.078
angles: 90.00 90.00 90.00
Space group I-4m2 (No. 119)
One atom of each set of equivalent atoms:
Li (0.000, 0.000, 0.000)
Dy (0.000, 0.500, 0.250)
Tc (0.000, 0.000, 0.500)
Ge (0.000, 0.500, 0.633)

***

No. 6
Starting from a DFT-relaxed cell (GGA-PBE, Alexandria), the powder X-ray diffraction pattern of DyMgGe2 was calculated for Cu Kα.
No peak broadening, texture or thermal motion is included.

Largest 10 diffraction maxima, low angle first, 10° ≤ 2θ ≤ 90°:
index  2θ (°)  I (rel.)
1 0 1  13.67  478
1 0 3  26.79  417
1 1 2  30.42  463
2 1 0  32.16  685
3 0 1  34.50  231
1 1 3  35.61  1000
2 1 2  36.19  247
3 0 2  37.38  231
3 0 3  41.86  523
0 2 0  47.06  296

abc: 8.031 3.862 10.968
angles: 90.00 90.00 90.00
Space group Pnma (No. 62)
One atom of each set of equivalent atoms:
Dy (0.120, 0.250, 0.148)
Mg (0.014, 0.750, 0.396)
Ge (0.166, 0.250, 0.803)
Ge (0.241, 0.750, 0.954)

***

No. 7
Starting from a DFT-relaxed cell (GGA-PBE, Alexandria), the powder X-ray diffraction pattern of Dy4Mg5Ge6 was calculated for Cu Kα.
No peak broadening, texture or thermal motion is included.

Largest 10 diffraction maxima, low angle first, 10° ≤ 2θ ≤ 90°:
index  2θ (°)  I (rel.)
0 0 2  11.38  309
1 1 0  20.76  334
0 4 4  29.30  275
1 5 0  30.55  363
1 1 4  31.09  994
1 3 4  33.72  276
1 5 3  35.22  1000
2 0 0  41.19  509
0 10 3  49.60  293
2 10 3  66.38  243

abc: 4.384 19.656 15.545
angles: 90.00 90.00 90.00
Space group Cmc2_1 (No. 36)
One atom of each set of equivalent atoms:
Dy (0.000, 0.010, 0.000)
Dy (0.000, 0.033, 0.264)
Dy (0.000, 0.162, 0.798)
Dy (0.000, 0.174, 0.438)
Mg (0.000, 0.156, 0.119)
Mg (0.000, 0.303, 0.114)
Mg (0.000, 0.338, 0.766)
Mg (0.000, 0.348, 0.474)
Mg (0.000, 0.442, 0.167)
Ge (0.000, 0.114, 0.613)
Ge (0.000, 0.229, 0.969)
Ge (0.000, 0.236, 0.265)
Ge (0.000, 0.429, 0.623)
Ge (0.000, 0.432, 0.903)
Ge (0.000, 0.444, 0.346)

***

No. 8
Starting from a DFT-relaxed cell (GGA-PBE, Alexandria), the powder X-ray diffraction pattern of Dy2MnGe4 was calculated for Cu Kα.
No peak broadening, texture or thermal motion is included.

Largest 10 diffraction maxima, low angle first, 10° ≤ 2θ ≤ 90°:
index  2θ (°)  I (rel.)
1 0 2  24.15  137
0 0 6  34.40  148
1 1 3  34.65  1000
0 1 5  35.61  199
1 0 6  40.79  165
0 2 0  42.48  217
2 0 0  43.30  205
0 1 9  57.26  165
2 2 0  62.27  137
3 1 3  73.84  156

abc: 4.179 4.256 15.644
angles: 90.00 90.00 90.00
Space group Amm2 (No. 38)
One atom of each set of equivalent atoms:
Dy (0.000, 0.000, 0.000)
Dy (0.500, 0.000, 0.206)
Mn (0.000, 0.000, 0.798)
Ge (0.000, 0.000, 0.362)
Ge (0.000, 0.000, 0.647)
Ge (0.500, 0.000, 0.539)
Ge (0.500, 0.000, 0.861)